The following is a simulated X-ray diffraction stick pattern of Pu2Ni3Rh. It was derived from a PBE-relaxed structure, using Cu Kα, 1.54184 Å.
Intensities are scaled so that the largest is 100.

Most intense lines, 5° ≤ 2θ ≤ 70°, low angle first:
2θ (°)  intensity
20.7  21
21.4  26
34.6  60
35.5  79
40.6  55
41.4  100
41.8  35
63.1  22
67.2  25
67.8  23

Structural model:
Cell lengths 5.194, 5.194, 5.194 Å; angles 58.27, 58.27, 58.27 degrees
Fractional coordinates of all 6 atoms:
Pu 0.125 0.125 0.125
Pu 0.875 0.875 0.875
Ni 0.000 0.500 0.500
Ni 0.500 0.000 0.500
Ni 0.500 0.500 0.000
Rh 0.500 0.500 0.500

=====

The following is a simulated X-ray diffraction stick pattern of Ba5TlIr. It was derived from a PBE-relaxed structure, using Cu Kα, 1.54184 Å.
Intensities are scaled so that the largest is 100.

Most intense lines, 5° ≤ 2θ ≤ 70°, low angle first:
2θ (°)  intensity
18.0  45
21.4  30
24.6  100
25.2  81
28.2  65
29.7  33
31.6  32
34.7  37
35.1  48
46.6  32

Structural model:
Cell lengths 8.244, 8.244, 11.082 Å; angles 99.25, 99.25, 107.38 degrees
Fractional coordinates of all 14 atoms:
Ba 0.063 0.676 0.379
Ba 0.102 0.898 0.750
Ba 0.239 0.381 0.028
Ba 0.324 0.937 0.121
Ba 0.381 0.239 0.528
Ba 0.619 0.761 0.472
Ba 0.676 0.063 0.879
Ba 0.761 0.619 0.972
Ba 0.898 0.102 0.250
Ba 0.937 0.324 0.621
Tl 0.379 0.621 0.750
Tl 0.621 0.379 0.250
Ir 0.000 0.000 0.000
Ir 0.000 0.000 0.500